# Rb2NiHF6
Theoretical X-ray diffraction stick pattern, copper Kα. Input: a GGA+U-relaxed structure.
Peak positions follow from Bragg's law for the DFT cell and can differ from measured ones.

Top 10 peaks for 10° ≤ 2θ ≤ 90°, low angle first:
2θ 19.02, I 34.0
2θ 30.05, I 100.0
2θ 33.68, I 33.1
2θ 37.05, I 31.2
2θ 38.58, I 48.4
2θ 38.96, I 16.6
2θ 48.37, I 33.7
2θ 58.00, I 29.3
2θ 62.47, I 41.2
2θ 82.74, I 25.0

Crystal structure
Unit cell a=6.141 b=6.141 c=6.141 alpha=128.64 beta=128.64 gamma=75.59
Element x y z (fractional)
Rb 0.250 0.750 0.500
Rb 0.750 0.250 0.500
Ni 0.000 0.000 0.000
H 0.500 0.500 0.000
F 0.186 0.186 0.000
F 0.268 0.268 0.537
F 0.268 0.732 0.000
F 0.732 0.268 0.000
F 0.732 0.732 0.463
F 0.814 0.814 0.000